# 1
Diffraction record for Ti4FeOs. The powder XRD pattern is calculated, not measured: it uses the GGA-PBE geometry in Alexandria and Cu Kα, 1.54184 Å.
Neutral-atom scattering factors, no anomalous dispersion.

Principal peaks in the range 15° ≤ 2θ ≤ 90°, by angle:
| d [Å] | I_rel | h k l |
| --- | --- | --- |
| 4.177 | 21 | 1 1 0 |
| 3.416 | 100 | 1 1 1 |
| 2.644 | 17 | 2 0 1 |
| 2.094 | 79 | 2 0 2 |
| 2.088 | 39 | 2 2 0 |
| 1.789 | 16 | 1 1 -3 |
| 1.782 | 31 | 1 3 -1 |
| 1.207 | 18 | 2 4 2 |

Atomic structure:
```
data_Ti4FeOs
_chemical_formula_sum 'Ti8 Fe2 Os2'
_cell_length_a 5.906
_cell_length_b 5.906
_cell_length_c 5.940
_cell_angle_alpha 90.00
_cell_angle_beta 90.11
_cell_angle_gamma 90.00
_symmetry_space_group_name_H-M 'C 1 2/m 1'
_symmetry_Int_Tables_number 12
_symmetry_space_group_name_Hall '-C 2y'
loop_
_atom_site_label
_atom_site_type_symbol
_atom_site_fract_x
_atom_site_fract_y
_atom_site_fract_z
Ti1 Ti 0.250 0.250 0.238
Fe1 Fe 0.000 0.000 0.000
Os1 Os 0.000 0.500 0.500
```



# 2
Diffraction record for MgH4Ir2. The powder XRD pattern is calculated, not measured: it uses the GGA-PBE geometry in Alexandria and Cu Kα, 1.54184 Å.
Neutral-atom scattering factors, no anomalous dispersion.

Principal peaks in the range 15° ≤ 2θ ≤ 90°, by angle:
| d [Å] | I_rel | h k l |
| --- | --- | --- |
| 3.581 | 100 | 0 2 0 |
| 2.963 | 63 | 0 0 1 |
| 2.940 | 61 | 2 0 0 |
| 2.283 | 79 | 0 2 1 |
| 2.272 | 77 | 2 2 0 |
| 2.087 | 62 | 2 0 1 |
| 1.803 | 60 | 2 2 1 |
| 1.359 | 43 | 2 4 1 |

Atomic structure:
```
data_MgH4Ir2
_chemical_formula_sum 'Mg2 H8 Ir4'
_cell_length_a 5.880
_cell_length_b 7.163
_cell_length_c 2.963
_cell_angle_alpha 90.00
_cell_angle_beta 90.00
_cell_angle_gamma 90.00
_symmetry_space_group_name_H-M 'C m m 2'
_symmetry_Int_Tables_number 35
_symmetry_space_group_name_Hall 'C 2 -2'
loop_
_atom_site_label
_atom_site_type_symbol
_atom_site_fract_x
_atom_site_fract_y
_atom_site_fract_z
Mg1 Mg 0.000 0.000 0.000
H1 H 0.000 0.304 0.200
H2 H 0.215 0.500 0.521
Ir1 Ir 0.250 0.250 0.500
```



# 3
Diffraction record for Na2In5Hg12. The powder XRD pattern is calculated, not measured: it uses the GGA-PBE geometry in Alexandria and Cu Kα, 1.54184 Å.
Neutral-atom scattering factors, no anomalous dispersion.

Principal peaks in the range 15° ≤ 2θ ≤ 90°, by angle:
| d [Å] | I_rel | h k l |
| --- | --- | --- |
| 3.037 | 34 | 5 1 -1 |
| 2.835 | 22 | 1 1 -2 |
| 2.702 | 23 | 6 0 -1 |
| 2.662 | 58 | 0 4 0 |
| 2.576 | 52 | 2 2 -2 |
| 2.553 | 100 | 4 2 1 |
| 2.409 | 20 | 6 2 -1 |
| 1.515 | 20 | 4 6 1 |

Atomic structure:
```
data_Na2In5Hg12
_chemical_formula_sum 'Na4 In10 Hg24'
_cell_length_a 16.537
_cell_length_b 10.647
_cell_length_c 5.910
_cell_angle_alpha 90.00
_cell_angle_beta 105.79
_cell_angle_gamma 90.00
_symmetry_space_group_name_H-M 'C 1 2/m 1'
_symmetry_Int_Tables_number 12
_symmetry_space_group_name_Hall '-C 2y'
loop_
_atom_site_label
_atom_site_type_symbol
_atom_site_fract_x
_atom_site_fract_y
_atom_site_fract_z
Na1 Na 0.000 0.239 0.000
In1 In 0.000 0.000 0.500
In2 In 0.165 0.500 0.870
In3 In 0.211 0.000 0.547
Hg1 Hg 0.054 0.500 0.277
Hg2 Hg 0.100 0.256 0.595
Hg3 Hg 0.115 0.000 0.011
Hg4 Hg 0.198 0.257 0.196
```